No. 1
Pb2Cl3: theoretical PXRD pattern (a wavelength of 1.5418 Å), based on a structure optimized by DFT (PBE).
Kinematic intensities with the Lorentz-polarization factor, no thermal factor.

Cell and atoms:
```
data_Pb2Cl3
_cell_length_a 11.975
_cell_length_b 17.644
_cell_length_c 5.696
_cell_angle_alpha 90.00
_cell_angle_beta 90.00
_cell_angle_gamma 90.00
_symmetry_space_group_name_H-M 'F d d 2'
_symmetry_Int_Tables_number 43
_symmetry_space_group_name_Hall 'F 2 -2d'
loop_
_atom_site_label
_atom_site_type_symbol
_atom_site_fract_x
_atom_site_fract_y
_atom_site_fract_z
_atom_site_occupancy
Pb1 Pb 0.008 0.141 0.000 1
Cl1 Cl 0.000 0.000 0.221 1
Cl2 Cl 0.060 0.309 0.953 1
```

Principal peaks in the range 10 to 90 degrees two-theta, sorted by position:
d [Å]  I_rel  h k l
4.940  100  1 1 1
4.411  68  0 4 0
3.872  82  1 3 1
3.214  56  3 1 1
2.994  48  4 0 0
2.857  44  3 3 1
2.572  57  2 0 2
2.263  48  1 7 1
2.222  71  2 4 2
1.532  34  6 4 2


No. 2
Ac6SiHg5: theoretical PXRD pattern (a wavelength of 1.5418 Å), based on a structure optimized by DFT (PBE).
Kinematic intensities with the Lorentz-polarization factor, no thermal factor.

Cell and atoms:
```
data_Ac6SiHg5
_cell_length_a 5.650
_cell_length_b 17.160
_cell_length_c 7.981
_cell_angle_alpha 90.00
_cell_angle_beta 90.00
_cell_angle_gamma 90.00
_symmetry_space_group_name_H-M 'C m m m'
_symmetry_Int_Tables_number 65
_symmetry_space_group_name_Hall '-C 2 2'
loop_
_atom_site_label
_atom_site_type_symbol
_atom_site_fract_x
_atom_site_fract_y
_atom_site_fract_z
_atom_site_occupancy
Ac1 Ac 0.000 0.000 0.232 1
Ac2 Ac 0.000 0.342 0.243 1
Si1 Si 0.000 0.500 0.000 1
Hg1 Hg 0.000 0.168 0.500 1
Hg2 Hg 0.000 0.178 0.000 1
Hg3 Hg 0.000 0.500 0.500 1
```

Principal peaks in the range 10 to 90 degrees two-theta, sorted by position:
d [Å]  I_rel  h k l
2.860  20  0 6 0
2.831  100  2 0 0
2.010  15  2 6 0
1.995  7  0 0 4
1.646  14  1 9 2
1.636  7  0 6 4
1.632  24  3 3 2
1.416  9  2 6 4
1.270  6  3 9 2
1.263  6  1 3 6


No. 3
Tb7SmY5: theoretical PXRD pattern (a wavelength of 1.5418 Å), based on a structure optimized by DFT (PBE).
Kinematic intensities with the Lorentz-polarization factor, no thermal factor.

Cell and atoms:
```
data_Tb7SmY5
_cell_length_a 6.733
_cell_length_b 11.196
_cell_length_c 11.592
_cell_angle_alpha 90.00
_cell_angle_beta 90.00
_cell_angle_gamma 90.00
_symmetry_space_group_name_H-M 'I m m 2'
_symmetry_Int_Tables_number 44
_symmetry_space_group_name_Hall 'I 2 -2'
loop_
_atom_site_label
_atom_site_type_symbol
_atom_site_fract_x
_atom_site_fract_y
_atom_site_fract_z
_atom_site_occupancy
Tb1 Tb 0.000 0.000 0.000 1
Tb2 Tb 0.000 0.000 0.303 1
Tb3 Tb 0.000 0.328 0.250 1
Tb4 Tb 0.000 0.328 0.749 1
Tb5 Tb 0.000 0.500 0.998 1
Sm1 Sm 0.000 0.000 0.698 1
Y1 Y 0.000 0.500 0.500 1
Y2 Y 0.234 0.227 0.499 1
```

Principal peaks in the range 10 to 90 degrees two-theta, sorted by position:
d [Å]  I_rel  h k l
3.367  40  2 0 0
3.264  52  1 3 0
2.911  38  2 0 2
2.898  60  0 0 4
2.875  28  1 2 3
2.844  100  1 3 2
2.584  66  2 2 2
1.826  28  3 3 2
1.632  30  2 6 0
1.605  28  2 2 6


No. 4
BaCdAg2Pb: theoretical PXRD pattern (a wavelength of 1.5418 Å), based on a structure optimized by DFT (PBE).
Kinematic intensities with the Lorentz-polarization factor, no thermal factor.

Cell and atoms:
```
data_BaCdAg2Pb
_cell_length_a 5.045
_cell_length_b 5.078
_cell_length_c 11.221
_cell_angle_alpha 90.00
_cell_angle_beta 90.00
_cell_angle_gamma 90.00
_symmetry_space_group_name_H-M 'I m m 2'
_symmetry_Int_Tables_number 44
_symmetry_space_group_name_Hall 'I 2 -2'
loop_
_atom_site_label
_atom_site_type_symbol
_atom_site_fract_x
_atom_site_fract_y
_atom_site_fract_z
_atom_site_occupancy
Ba1 Ba 0.000 0.000 0.000 1
Cd1 Cd 0.000 0.500 0.745 1
Ag1 Ag 0.000 0.000 0.641 1
Ag2 Ag 0.000 0.500 0.259 1
Pb1 Pb 0.000 0.000 0.387 1
```

Principal peaks in the range 10 to 90 degrees two-theta, sorted by position:
d [Å]  I_rel  h k l
3.579  19  1 1 0
3.016  100  1 1 2
3.005  38  1 0 3
2.539  36  0 2 0
2.522  36  2 0 0
2.208  35  1 1 4
2.052  22  0 1 5
1.939  22  1 2 3
1.934  16  2 1 3
1.789  25  2 2 0


No. 5
Ho2Pa2S7: theoretical PXRD pattern (a wavelength of 1.5418 Å), based on a structure optimized by DFT (PBE).
Kinematic intensities with the Lorentz-polarization factor, no thermal factor.

Cell and atoms:
```
data_Ho2Pa2S7
_cell_length_a 4.593
_cell_length_b 4.593
_cell_length_c 12.944
_cell_angle_alpha 90.00
_cell_angle_beta 90.00
_cell_angle_gamma 90.00
_symmetry_space_group_name_H-M 'P -4 m 2'
_symmetry_Int_Tables_number 115
_symmetry_space_group_name_Hall 'P -4 -2'
loop_
_atom_site_label
_atom_site_type_symbol
_atom_site_fract_x
_atom_site_fract_y
_atom_site_fract_z
_atom_site_occupancy
Ho1 Ho 0.000 0.500 0.138 1
Pa1 Pa 0.000 0.500 0.625 1
S1 S 0.000 0.000 0.236 1
S2 S 0.000 0.000 0.500 1
S3 S 0.500 0.500 0.000 1
S4 S 0.500 0.500 0.256 1
S5 S 0.500 0.500 0.500 1
```

Principal peaks in the range 10 to 90 degrees two-theta, sorted by position:
d [Å]  I_rel  h k l
3.745  100  1 0 2
3.244  25  1 1 0
2.294  67  2 0 0
1.958  34  2 1 2
1.953  16  1 0 6
1.624  8  2 2 0
1.488  13  2 1 6
1.325  15  3 1 4
1.249  12  3 2 2
1.097  11  4 1 2


No. 6
Ac2Nd13: theoretical PXRD pattern (a wavelength of 1.5418 Å), based on a structure optimized by DFT (PBE).
Kinematic intensities with the Lorentz-polarization factor, no thermal factor.

Cell and atoms:
```
data_Ac2Nd13
_cell_length_a 6.904
_cell_length_b 9.298
_cell_length_c 9.349
_cell_angle_alpha 66.93
_cell_angle_beta 82.26
_cell_angle_gamma 82.44
_symmetry_space_group_name_H-M 'P -1'
_symmetry_Int_Tables_number 2
_symmetry_space_group_name_Hall '-P 1'
loop_
_atom_site_label
_atom_site_type_symbol
_atom_site_fract_x
_atom_site_fract_y
_atom_site_fract_z
_atom_site_occupancy
Ac1 Ac 0.097 0.271 0.434 1
Nd1 Nd 0.000 0.500 0.000 1
Nd2 Nd 0.103 0.929 0.774 1
Nd3 Nd 0.198 0.705 0.194 1
Nd4 Nd 0.300 0.132 0.971 1
Nd5 Nd 0.318 0.457 0.642 1
Nd6 Nd 0.401 0.902 0.396 1
Nd7 Nd 0.491 0.665 0.840 1
```

Principal peaks in the range 10 to 90 degrees two-theta, sorted by position:
d [Å]  I_rel  h k l
2.962  77  1 1 -2
2.943  100  -2 1 1
2.087  10  -1 2 4
2.081  11  -1 4 2
1.800  8  2 4 4
1.713  11  0 3 -3
1.704  23  3 0 -3
1.700  11  -2 3 4
1.542  11  1 3 6
1.535  18  3 5 2